# NdHgSe2
Theoretical powder diffractogram, Cu Kα, 1.54184 Å. Input: a PBE-relaxed structure.

a b c (Å): 4.3506 4.3506 25.9703
angles (deg): 90.00 90.00 120.00
Sites, in units of the cell vectors:
Nd1 0.0000 0.6708 0.3333
Nd2 0.3292 0.3292 0.0000
Nd3 0.6708 0.0000 0.6667
Hg1 0.0000 0.6641 0.8333
Hg2 0.3359 0.3359 0.5000
Hg3 0.6641 0.0000 0.1667
Se1 0.0042 0.6669 0.7277
Se2 0.3331 0.3373 0.3944
Se3 0.3373 0.3331 0.6056
Se4 0.6627 0.9958 0.0611
Se5 0.6669 0.0042 0.2723
Se6 0.9958 0.6627 0.9389

Principal peaks in the range 2θ from 10° to 90°, low angle first:
2θ (°)	d [Å]	Rel. int.	index
20.5	4.328	194	0 0 6
23.9	3.729	241	1 0 1
24.6	3.618	1000	0 1 2
27.4	3.259	214	1 0 4
36.5	2.459	465	0 1 8
41.5	2.175	438	1 1 0
42.3	2.138	401	1 0 10
48.9	1.864	159	2 0 2